1.
Computed powder X-ray diffraction pattern
Compound: KMg6Ni
Radiation: λ = 1.5418 Å (Cu Kα)
Structure: a structure optimized by DFT (PBE)

Principal peaks in the range 5° ≤ 2θ ≤ 70°, in order of rising 2θ:
15.9 deg, rel. 15; 17.5 deg, rel. 7; 23.7 deg, rel. 7; 32.2 deg, rel. 28; 35.4 deg, rel. 25; 36.8 deg, rel. 100; 48.6 deg, rel. 16; 57.3 deg, rel. 11; 64.5 deg, rel. 17; 69.2 deg, rel. 17

Cell and atoms:
```
data_KMg6Ni
_chemical_formula_sum 'K2 Mg12 Ni2'
_space_group_name_H-M_alt 'A m m 2'
_space_group_IT_number 38
_space_group_name_Hall 'A 2 -2'
_cell_length_a 5.0717
_cell_length_b 6.4194
_cell_length_c 11.1435
_cell_angle_alpha 90.00
_cell_angle_beta 90.00
_cell_angle_gamma 90.00
loop_
_atom_site_label
_atom_site_type_symbol
_atom_site_fract_x
_atom_site_fract_y
_atom_site_fract_z
_atom_site_occupancy
K1 K 0.0000 0.0000 0.0000 1
Mg1 Mg 0.0000 0.2461 0.2525 1
Mg2 Mg 0.5000 0.0000 0.1788 1
Mg3 Mg 0.5000 0.0000 0.6603 1
Mg4 Mg 0.5000 0.2229 0.4219 1
Ni1 Ni 0.0000 0.0000 0.4971 1
```



2.
Computed powder X-ray diffraction pattern
Compound: KMg14Ni
Radiation: λ = 1.5418 Å (Cu Kα)
Structure: a structure optimized by DFT (PBE)

Principal peaks in the range 5° ≤ 2θ ≤ 70°, in order of rising 2θ:
8.6 deg, rel. 16; 31.6 deg, rel. 10; 32.3 deg, rel. 29; 34.8 deg, rel. 40; 36.1 deg, rel. 52; 36.8 deg, rel. 100; 48.2 deg, rel. 17; 56.7 deg, rel. 14; 63.7 deg, rel. 16; 68.2 deg, rel. 14

Cell and atoms:
```
data_KMg14Ni
_chemical_formula_sum 'K2 Mg28 Ni2'
_space_group_name_H-M_alt 'A m m 2'
_space_group_IT_number 38
_space_group_name_Hall 'A 2 -2'
_cell_length_a 10.3253
_cell_length_b 6.3473
_cell_length_c 11.3396
_cell_angle_alpha 90.00
_cell_angle_beta 90.00
_cell_angle_gamma 90.00
loop_
_atom_site_label
_atom_site_type_symbol
_atom_site_fract_x
_atom_site_fract_y
_atom_site_fract_z
_atom_site_occupancy
K1 K 0.0000 0.0000 0.0000 1
Mg1 Mg 0.0000 0.2397 0.2525 1
Mg2 Mg 0.2217 0.0000 0.6335 1
Mg3 Mg 0.2532 0.2408 0.3932 1
Mg4 Mg 0.2700 0.0000 0.1491 1
Mg5 Mg 0.5000 0.0000 0.4810 1
Mg6 Mg 0.5000 0.0000 0.9768 1
Mg7 Mg 0.5000 0.2436 0.7305 1
Ni1 Ni 0.0000 0.0000 0.4510 1
```



3.
Computed powder X-ray diffraction pattern
Compound: KMg6Ni
Radiation: λ = 1.5418 Å (Cu Kα)
Structure: a structure optimized by DFT (PBE)

Principal peaks in the range 5° ≤ 2θ ≤ 70°, in order of rising 2θ:
11.8 deg, rel. 49; 15.6 deg, rel. 51; 22.9 deg, rel. 39; 30.3 deg, rel. 60; 30.9 deg, rel. 29; 31.6 deg, rel. 25; 33.3 deg, rel. 41; 37.4 deg, rel. 100; 39.7 deg, rel. 37; 43.0 deg, rel. 27

Cell and atoms:
```
data_KMg6Ni
_chemical_formula_sum 'K2 Mg12 Ni2'
_space_group_name_H-M_alt 'A m m 2'
_space_group_IT_number 38
_space_group_name_Hall 'A 2 -2'
_cell_length_a 4.5439
_cell_length_b 6.1238
_cell_length_c 14.9974
_cell_angle_alpha 90.00
_cell_angle_beta 90.00
_cell_angle_gamma 90.00
loop_
_atom_site_label
_atom_site_type_symbol
_atom_site_fract_x
_atom_site_fract_y
_atom_site_fract_z
_atom_site_occupancy
K1 K 0.0000 0.0000 0.0000 1
Mg1 Mg 0.0000 0.0000 0.4226 1
Mg2 Mg 0.0000 0.2378 0.2004 1
Mg3 Mg 0.5000 0.0000 0.6012 1
Mg4 Mg 0.5000 0.2495 0.8260 1
Ni1 Ni 0.5000 0.0000 0.1863 1
```